Diffraction record for Pm2NiRu. The X-ray powder pattern is computed, not measured: it uses a structure optimized by DFT (GGA-PBE) and Cu Ka.

```
4
Lattice="0.0000 3.4861 3.4861 3.4861 0.0000 3.4861 3.4861 3.4861 0.0000" Properties=species:S:1:pos:R:3 pbc="T T T"
Pm 1.7431 1.7431 1.7431
Pm 5.2292 5.2292 5.2292
Ni 0.0000 0.0000 0.0000
Ru 3.4861 3.4861 3.4861
```

The 9 most intense peaks (2θ from 10° to 80°), in order of rising 2θ:
d 4.025, 2θ 22.08, I = 2
d 3.486, 2θ 25.55, I = 9
d 2.465, 2θ 36.45, I = 100
d 2.102, 2θ 43.03, I = 1
d 2.013, 2θ 45.04, I = 3
d 1.743, 2θ 52.50, I = 17
d 1.559, 2θ 59.27, I = 4
d 1.423, 2θ 65.60, I = 35
d 1.233, 2θ 77.43, I = 11